Theoretical PXRD pattern of KAcTlSn for Cu Ka, from a PBE-relaxed structure.
Intensities are scaled so that the largest is 100.

Atomic structure:
```
data_KAcTlSn
_symmetry_space_group_name_H-M 'P 1'
_symmetry_Int_Tables_number 1
_symmetry_space_group_name_Hall 'P 1'
_cell_length_a 5.830
_cell_length_b 5.830
_cell_length_c 5.830
_cell_angle_alpha 60.00
_cell_angle_beta 60.00
_cell_angle_gamma 60.00
loop_
_atom_site_label
_atom_site_type_symbol
_atom_site_fract_x
_atom_site_fract_y
_atom_site_fract_z
_atom_site_occupancy
K1 K 0.000 0.000 0.000 1
Ac1 Ac 0.500 0.500 0.500 1
Tl1 Tl 0.750 0.750 0.750 1
Sn1 Sn 0.250 0.250 0.250 1
```

Most intense lines, 2θ = 10–90°, sorted by position:
2θ 18.64, rel. 24
2θ 30.67, rel. 100
2θ 43.92, rel. 19
2θ 54.52, rel. 40
2θ 72.50, rel. 18
2θ 88.80, rel. 22